1.
HoZrP: theoretical powder diffraction line list (CuKα), based on a cell relaxed with PBE.
Peak positions follow from Bragg's law for the DFT cell and can differ from measured ones.

Main lines, low angle first (2θ = 10–90°):
2θ/deg	d/Å	I (rel.)
14.41	6.149	9
28.06	3.180	17
29.05	3.074	21
31.68	2.825	100
40.82	2.210	28
49.65	1.836	22
53.17	1.723	23
58.56	1.576	17
60.10	1.539	16
81.65	1.179	23

```
HoZrP
1.0
3.1802 1.8361 6.1486
-3.1802 1.8361 6.1486
0.0000 -3.6722 6.1486
Ho Zr P
3 3 3
Cartesian
-1.0199 -1.8563 6.1486
-1.0976 1.8114 6.1486
2.1176 0.0449 6.1486
-2.1462 -0.0784 9.2501
1.1410 -1.8195 9.2501
1.0052 1.8979 9.2501
0.0000 0.0000 1.7307
0.0000 0.0000 7.7810
0.0000 0.0000 10.7491
```

=====

2.
HoPa3: theoretical powder diffraction line list (CuKα), based on a cell relaxed with PBE.
Peak positions follow from Bragg's law for the DFT cell and can differ from measured ones.

Main lines, low angle first (2θ = 10–90°):
2θ/deg	d/Å	I (rel.)
32.01	2.796	47
32.11	2.787	57
34.94	2.568	88
35.93	2.499	100
45.97	1.974	35
55.68	1.651	19
59.09	1.563	20
59.75	1.548	24
65.74	1.420	23
69.29	1.356	25

```
HoPa3
1.0
3.1939 0.0000 0.0000
0.0000 5.5748 0.0000
0.0000 0.0000 5.7855
Ho Pa
1 3
Cartesian
0.0000 0.0000 0.0000
0.0000 2.7874 4.1500
1.5969 0.0000 2.9086
1.5969 2.7874 1.3158
```

=====

3.
HoPa6: theoretical powder diffraction line list (CuKα), based on a cell relaxed with PBE.
Peak positions follow from Bragg's law for the DFT cell and can differ from measured ones.

Main lines, low angle first (2θ = 10–90°):
2θ/deg	d/Å	I (rel.)
16.40	5.404	40
23.28	3.821	42
28.61	3.120	100
40.90	2.206	49
44.35	2.043	62
47.59	1.911	39
67.07	1.395	19
69.58	1.351	26
76.89	1.240	19
83.99	1.152	20

```
HoPa6
1.0
7.6430 0.0000 0.0000
0.0000 7.6430 0.0000
0.0000 0.0000 7.6430
Ho Pa
2 12
Cartesian
0.0000 0.0000 0.0000
3.8215 3.8215 3.8215
0.0000 1.9107 3.8215
0.0000 3.8215 1.9107
0.0000 3.8215 5.7322
0.0000 5.7322 3.8215
1.9107 0.0000 3.8215
1.9107 3.8215 0.0000
3.8215 0.0000 1.9107
3.8215 0.0000 5.7322
3.8215 1.9107 0.0000
3.8215 5.7322 0.0000
5.7322 0.0000 3.8215
5.7322 3.8215 0.0000
```

=====

4.
HoPaPd4: theoretical powder diffraction line list (CuKα), based on a cell relaxed with PBE.
Peak positions follow from Bragg's law for the DFT cell and can differ from measured ones.

Main lines, low angle first (2θ = 10–90°):
2θ/deg	d/Å	I (rel.)
23.60	3.770	21
29.79	2.999	45
31.05	2.881	19
38.24	2.354	100
38.47	2.340	100
41.54	2.174	60
43.72	2.071	38
61.88	1.499	37
73.44	1.289	27
78.09	1.224	25

```
HoPaPd4
1.0
2.0705 -10.0132 0.0000
2.0705 10.0132 0.0000
0.0000 0.0000 5.7306
Ho Pa Pd
2 2 8
Cartesian
2.0705 5.4928 4.2980
2.0705 -5.4928 1.4327
2.0705 8.4155 1.4327
2.0705 -8.4155 4.2980
2.0705 8.5962 4.2980
2.0705 2.9273 0.0465
2.0705 2.9273 2.8188
2.0705 0.0000 0.0000
2.0705 0.0000 2.8653
2.0705 -2.9273 2.9118
2.0705 -2.9273 5.6841
2.0705 -8.5962 1.4327
```